Entry 1:
Diffraction record for Pm3C. The powder diffraction line list is calculated, not measured: it uses the GGA-PBE geometry in Alexandria and CuKα.
Lines closer than 0.1° are merged.

Structure:
```
8
Lattice="6.449 0.000 0.000 -3.224 5.585 0.000 0.000 0.000 5.946" Properties=species:S:1:pos:R:3 pbc="T T T"
Pm -1.102 1.909 0.000
Pm -2.122 3.676 2.973
Pm 2.204 0.000 0.000
Pm 1.102 1.909 2.973
Pm 4.245 0.000 2.973
Pm 2.122 3.676 0.000
C 0.000 3.723 1.487
C 3.224 1.862 4.460
```

Largest 10 diffraction maxima, in order of rising 2θ, 2θ = 10–90°:
2θ (°)  Rel. int.
27.67  21
30.06  24
31.57  100
41.31  17
48.93  20
54.33  22
58.50  22
59.40  16
80.44  13
83.16  9


Entry 2:
Diffraction record for TiNbTe. The powder diffraction line list is calculated, not measured: it uses the GGA-PBE geometry in Alexandria and CuKα.
Lines closer than 0.1° are merged.

Structure:
```
6
Lattice="5.091 -1.805 0.000 5.091 1.805 0.000 -2.373 0.000 6.843" Properties=species:S:1:pos:R:3 pbc="T T T"
Ti 0.000 0.000 0.000
Ti 6.988 0.000 1.154
Nb 0.782 0.000 3.065
Nb 4.060 0.000 1.967
Te 0.518 0.000 6.109
Te 8.048 0.000 3.865
```

Largest 10 diffraction maxima, in order of rising 2θ, 2θ = 10–90°:
2θ (°)  Rel. int.
26.37  23
28.07  35
36.55  67
37.39  23
37.71  32
39.57  100
40.30  31
43.80  18
50.56  22
70.32  17


Entry 3:
Diffraction record for Zn4InAg8. The powder diffraction line list is calculated, not measured: it uses the GGA-PBE geometry in Alexandria and CuKα.
Lines closer than 0.1° are merged.

Structure:
```
13
Lattice="4.690 -1.976 0.000 4.690 1.976 0.000 -1.057 0.000 12.156" Properties=species:S:1:pos:R:3 pbc="T T T"
Zn 1.000 0.000 2.098
Zn 2.798 0.000 5.613
Zn 5.524 0.000 6.543
Zn 7.322 0.000 10.058
In 4.690 0.000 0.000
Ag 0.040 0.000 4.771
Ag 0.899 0.000 11.141
Ag 1.700 0.000 8.285
Ag 3.822 0.000 2.847
Ag 4.501 0.000 9.309
Ag 6.623 0.000 3.871
Ag 7.423 0.000 1.015
Ag 8.282 0.000 7.385
```

Largest 10 diffraction maxima, in order of rising 2θ, 2θ = 10–90°:
2θ (°)  Rel. int.
37.97  100
42.98  18
43.42  15
45.93  15
64.72  10
65.05  9
75.36  6
75.52  6
79.64  5
79.70  5


Entry 4:
Diffraction record for SrLi2PH. The powder diffraction line list is calculated, not measured: it uses the GGA-PBE geometry in Alexandria and CuKα.
Lines closer than 0.1° are merged.

Structure:
```
10
Lattice="2.064 -5.478 0.000 2.064 5.478 0.000 0.000 0.000 7.206" Properties=species:S:1:pos:R:3 pbc="T T T"
Sr 2.064 4.785 5.405
Sr 2.064 -4.785 1.802
Li 2.064 1.859 4.060
Li 2.064 1.859 6.749
Li 2.064 -1.859 0.457
Li 2.064 -1.859 3.146
P 2.064 3.093 1.802
P 2.064 -3.093 5.405
H 2.064 0.000 0.000
H 2.064 0.000 3.603
```

Largest 10 diffraction maxima, in order of rising 2θ, 2θ = 10–90°:
2θ (°)  Rel. int.
20.36  24
23.03  54
24.71  43
34.03  52
35.08  100
43.87  12
50.56  32
51.00  11
57.35  17
69.28  14